# 1
Computed X-ray diffraction stick pattern of Nd2ZnCoS2O2 for Cu Kα, from a crystal structure in OQMD, relaxed with GGA+U.

The 6 most intense peaks (5° ≤ 2θ ≤ 70°), by angle:
- 27.73 deg, I = 100
- 31.30 deg, I = 78
- 33.24 deg, I = 25
- 36.55 deg, I = 65
- 46.68 deg, I = 58
- 58.51 deg, I = 28

Atomic structure:
```
Nd2ZnCoS2O2
1.0
3.891 0.000 0.000
-1.946 3.370 0.000
0.000 0.000 10.781
Nd Zn Co S O
2 1 1 2 2
Direct
0.000 0.000 0.000
0.333 0.667 0.441
0.667 0.333 0.731
0.667 0.333 0.227
0.000 0.000 0.657
0.333 0.667 0.168
0.667 0.333 0.424
0.667 0.333 0.913
```



# 2
Computed X-ray diffraction stick pattern of NdCo3Sn4O12 for Cu Kα, from a crystal structure in OQMD, relaxed with GGA+U.

The 6 most intense peaks (5° ≤ 2θ ≤ 70°), by angle:
- 16.06 deg, I = 6
- 22.79 deg, I = 6
- 32.45 deg, I = 100
- 46.55 deg, I = 24
- 57.89 deg, I = 49
- 67.95 deg, I = 13

Atomic structure:
```
NdCo3Sn4O12
1.0
-3.902 3.902 3.902
3.902 -3.902 3.902
3.902 3.902 -3.902
Nd Co Sn O
1 3 4 12
Direct
0.000 0.000 0.000
0.000 0.500 0.500
0.500 0.000 0.500
0.500 0.500 0.000
0.000 0.000 0.500
0.000 0.500 0.000
0.500 0.000 0.000
0.500 0.500 0.500
0.132 0.302 0.830
0.170 0.472 0.302
0.170 0.868 0.698
0.302 0.170 0.472
0.302 0.830 0.132
0.472 0.302 0.170
0.528 0.698 0.830
0.698 0.170 0.868
0.698 0.830 0.528
0.830 0.132 0.302
0.830 0.528 0.698
0.868 0.698 0.170
```